Record 1
This entry pairs a crystal structure of Cs5Na3Sb3 with its simulated powder XRD pattern. Radiation: Cu Ka. Structure: a cell relaxed with GGA-PBE.
Peak positions follow from Bragg's law for the DFT cell and can differ from measured ones.

Main lines, most intense first (2θ from 5° to 70°):
Position (°2θ)  d_spacing  I (rel.)
14.77  5.996  1000
30.01  2.978  737
25.97  3.431  714
22.84  3.893  449
39.93  2.258  447
27.33  3.264  399
29.80  2.998  249
49.27  1.849  208
37.89  2.375  197
51.75  1.767  146
53.02  1.727  143
41.08  2.197  121

Crystal structure
Cell: 11.8848 11.8848 5.9961 Å, 90.00 90.00 120.00°
Fractional positions:
Cs  0.0000  0.2743  0.0000
Cs  0.2743  0.0000  0.0000
Cs  0.3333  0.6667  0.0000
Cs  0.6667  0.3333  0.0000
Cs  0.7257  0.7257  0.0000
Na  0.0000  0.6336  0.5000
Na  0.3664  0.3664  0.5000
Na  0.6336  0.0000  0.5000
Sb  0.0000  0.6345  0.0000
Sb  0.3655  0.3655  0.0000
Sb  0.6345  0.0000  0.0000

Record 2
This entry pairs a crystal structure of NpSnHgAu with its simulated powder XRD pattern. Radiation: Cu Ka. Structure: a cell relaxed with GGA-PBE.
Peak positions follow from Bragg's law for the DFT cell and can differ from measured ones.

Main lines, most intense first (2θ from 5° to 70°):
Position (°2θ)  d_spacing  I (rel.)
35.11  2.556  1000
62.99  1.476  380
50.50  1.807  182
21.29  4.174  48
41.43  2.180  27
55.40  1.658  12
67.30  1.391  9

Crystal structure
Cell: 5.1117 5.1117 5.1117 Å, 60.00 60.00 60.00°
Fractional positions:
Np  0.0000  0.0000  0.0000
Sn  0.5000  0.5000  0.5000
Hg  0.7500  0.7500  0.7500
Au  0.2500  0.2500  0.2500

Record 3
This entry pairs a crystal structure of La6PmTm3 with its simulated powder XRD pattern. Radiation: Cu Ka. Structure: a cell relaxed with GGA-PBE.
Peak positions follow from Bragg's law for the DFT cell and can differ from measured ones.

Main lines, most intense first (2θ from 5° to 70°):
Position (°2θ)  d_spacing  I (rel.)
30.92  2.892  1000
28.14  3.171  498
54.99  1.670  312
48.03  1.894  166
53.32  1.718  165
42.31  2.136  163
40.23  2.242  155
64.46  1.446  141
35.82  2.507  114
67.36  1.390  94
17.71  5.007  84
51.59  1.771  48

Crystal structure
Cell: 7.0860 7.0860 7.0860 Å, 89.92 89.92 89.92°
Fractional positions:
La  0.0000  0.3274  0.6726
La  0.1724  0.8276  0.5000
La  0.3274  0.6726  0.0000
La  0.5000  0.1724  0.8276
La  0.6726  0.0000  0.3274
La  0.8276  0.5000  0.1724
Pm  0.0000  0.0000  0.0000
Tm  0.2529  0.2529  0.2529
Tm  0.5000  0.5000  0.5000
Tm  0.7471  0.7471  0.7471

Record 4
This entry pairs a crystal structure of NaTeCl6 with its simulated powder XRD pattern. Radiation: Cu Ka. Structure: a cell relaxed with GGA-PBE.
Peak positions follow from Bragg's law for the DFT cell and can differ from measured ones.

Main lines, most intense first (2θ from 5° to 70°):
Position (°2θ)  d_spacing  I (rel.)
17.44  5.085  1000
31.74  2.819  928
14.68  6.033  889
15.30  5.790  805
31.92  2.804  549
13.98  6.333  506
20.33  4.368  312
23.68  3.757  306
44.88  2.020  268
46.38  1.958  261
42.06  2.148  249
45.08  2.011  217

Crystal structure
Cell: 6.9764 6.9764 6.7248 Å, 99.72 99.72 119.71°
Fractional positions:
Na  0.0000  0.0000  0.0000
Te  0.5000  0.5000  0.5000
Cl  0.1428  0.4332  0.2661
Cl  0.2725  0.2725  0.7093
Cl  0.4332  0.1428  0.2661
Cl  0.5668  0.8572  0.7339
Cl  0.7275  0.7275  0.2907
Cl  0.8572  0.5668  0.7339